(1)
Starting from the PBE geometry in Alexandria, the XRD peak list of Sr4NbAlO8 was computed for Cu Kα X-rays.

Top 10 peaks for 2θ = 5–70°, by angle:
d [Å]  I/Imax
9.882  22
3.101  50
3.071  36
2.952  81
2.877  100
2.846  79
2.288  19
2.138  52
1.730  18
1.689  32

Cell and atoms:
```
56
Lattice="7.2489 0.0000 0.0000 0.0000 5.9039 0.0000 -2.5368 0.0000 19.7645" Properties=species:S:1:pos:R:3 pbc="T T T"
Sr -0.9204 1.4761 7.2316
Sr -2.1888 1.4758 17.1138
Sr 1.4327 1.2963 0.9134
Sr 0.1643 1.6556 10.7957
Sr 1.8747 4.1917 5.7482
Sr 0.6063 4.6641 15.6304
Sr 3.1971 4.4156 1.9269
Sr 1.9287 4.4403 11.8092
Sr 2.7834 1.4636 7.9554
Sr 1.5150 1.4883 17.8376
Sr 4.1059 1.2398 4.1341
Sr 2.8375 1.7122 14.0164
Sr 4.5479 4.2483 8.9689
Sr 3.2795 4.6076 18.8511
Sr 6.9009 4.4281 2.6507
Sr 5.6325 4.4278 12.5330
Nb 0.6273 1.4208 4.1659
Nb -0.6411 1.5312 14.0482
Nb 5.3532 4.3727 5.7164
Nb 4.0848 4.4831 15.5986
Al -0.7064 4.2351 18.6390
Al 0.5620 4.6207 8.7568
Al 4.1501 1.2831 11.0078
Al 5.4185 1.6688 1.1255
O -0.5297 3.1116 4.8168
O -1.7981 5.7442 14.6991
O -0.6007 4.1878 7.4254
O -1.8691 4.6680 17.3077
O -0.1338 4.1121 10.3262
O 1.1346 4.7437 0.4439
O 0.7081 0.4881 8.7623
O -0.5603 2.4638 18.6446
O 0.4250 0.2226 13.0276
O 1.6934 2.7294 3.1453
O 0.4114 3.0394 13.4441
O 1.6798 5.8164 3.5618
O 0.3185 1.3094 15.7041
O 1.5869 1.6426 5.8219
O 2.1079 3.8780 8.3167
O 0.8395 4.9778 18.1990
O 3.8727 0.9261 1.5656
O 2.6043 2.0258 11.4478
O 3.1252 4.2613 13.9427
O 4.3936 4.5945 4.0604
O 3.0324 0.0875 16.2028
O 4.3008 2.8645 6.3205
O 3.0188 3.1745 16.6192
O 4.2872 5.6813 6.7369
O 5.2724 3.4401 1.1199
O 4.0040 5.4158 11.0022
O 3.5775 1.1602 19.3206
O 4.8459 1.7918 9.4384
O 6.5812 1.2359 2.4568
O 5.3128 1.7160 12.3391
O 6.5102 0.1597 5.0654
O 5.2418 2.7923 14.9477
```

(2)
Starting from the PBE geometry in Alexandria, the XRD peak list of TiNb2AlPb was computed for Cu Kα X-rays.

Top 10 peaks for 2θ = 5–70°, by angle:
d [Å]  I/Imax
4.768  20
3.439  61
2.789  100
2.482  28
2.384  51
1.959  26
1.720  37
1.686  17
1.443  27
1.395  18

Cell and atoms:
```
5
Lattice="4.7682 0.0000 0.0000 0.0000 4.7682 0.0000 0.0000 0.0000 4.9648" Properties=species:S:1:pos:R:3 pbc="T T T"
Ti 0.0000 0.0000 0.0000
Nb 0.0000 2.3841 0.0000
Nb 2.3841 0.0000 0.0000
Al 0.0000 0.0000 2.4824
Pb 2.3841 2.3841 2.4824
```

(3)
Starting from the PBE geometry in Alexandria, the XRD peak list of Nb12Al3Pd was computed for Cu Kα X-rays.

Top 10 peaks for 2θ = 5–70°, by angle:
d [Å]  I/Imax
3.683  14
2.606  16
2.330  100
2.326  25
2.126  53
1.503  16
1.446  12
1.443  14
1.393  13
1.391  13

Cell and atoms:
```
16
Lattice="5.2000 0.0000 0.0000 0.0000 5.2169 0.0000 0.0000 0.0000 10.4140" Properties=species:S:1:pos:R:3 pbc="T T T"
Nb 0.0000 0.0000 1.2717
Nb 0.0000 0.0000 3.8691
Nb 0.0000 0.0000 6.5449
Nb 0.0000 0.0000 9.1423
Nb 1.3058 2.6084 2.6022
Nb 1.3058 2.6084 7.8118
Nb 2.6000 1.2900 5.2070
Nb 2.6000 1.3124 0.0000
Nb 2.6000 3.9044 0.0000
Nb 2.6000 3.9269 5.2070
Nb 3.8942 2.6084 2.6022
Nb 3.8942 2.6084 7.8118
Al 0.0000 2.6084 5.2070
Al 2.6000 0.0000 2.6250
Al 2.6000 0.0000 7.7890
Pd 0.0000 2.6084 0.0000
```

(4)
Starting from the PBE geometry in Alexandria, the XRD peak list of PmNbAl2 was computed for Cu Kα X-rays.

Top 10 peaks for 2θ = 5–70°, by angle:
d [Å]  I/Imax
3.559  62
3.279  29
2.516  61
2.412  100
1.996  28
1.779  21
1.564  13
1.489  15
1.432  38
1.374  13

Cell and atoms:
```
4
Lattice="3.5587 0.0000 0.0000 0.0000 3.5587 0.0000 0.0000 0.0000 6.5586" Properties=species:S:1:pos:R:3 pbc="T T T"
Pm 0.0000 0.0000 0.0000
Nb 0.0000 0.0000 3.2793
Al 1.7794 1.7794 1.9964
Al 1.7794 1.7794 4.5622
```

(5)
Starting from the PBE geometry in Alexandria, the XRD peak list of Nb4AlRh5 was computed for Cu Kα X-rays.

Top 10 peaks for 2θ = 5–70°, by angle:
d [Å]  I/Imax
14.401  16
7.201  3
3.803  3
2.296  100
2.288  100
2.031  69
1.902  28
1.440  11
1.433  11
1.388  39

Cell and atoms:
```
10
Lattice="2.8652 0.0000 0.0000 0.0000 3.8032 0.0000 0.0000 0.0000 14.4014" Properties=species:S:1:pos:R:3 pbc="T T T"
Nb 0.0000 0.0000 1.4178
Nb 0.0000 0.0000 4.3340
Nb 0.0000 0.0000 10.0674
Nb 0.0000 0.0000 12.9836
Al 0.0000 0.0000 7.2007
Rh 1.4326 1.9016 0.0000
Rh 1.4326 1.9016 2.9027
Rh 1.4326 1.9016 5.8376
Rh 1.4326 1.9016 8.5638
Rh 1.4326 1.9016 11.4987
```

(6)
Starting from the PBE geometry in Alexandria, the XRD peak list of NbAlRu was computed for Cu Kα X-rays.

Top 10 peaks for 2θ = 5–70°, by angle:
d [Å]  I/Imax
4.192  24
2.566  43
2.533  49
2.211  100
2.189  38
2.134  19
2.128  48
2.096  27
2.071  22
1.403  23

Cell and atoms:
```
6
Lattice="-2.5660 3.5070 2.6146 2.5660 -3.5070 2.6146 2.5660 3.5070 -2.6146" Properties=species:S:1:pos:R:3 pbc="T T T"
Nb 1.2830 0.8327 0.0000
Nb 1.2830 2.6743 2.6146
Al 0.0000 3.5070 0.0370
Al 0.0000 0.0000 2.6516
Ru 3.8490 1.5951 1.1088
Ru -1.2830 1.9119 3.7235
```

(7)
Starting from the PBE geometry in Alexandria, the XRD peak list of Nb2Al2Sb was computed for Cu Kα X-rays.

Top 10 peaks for 2θ = 5–70°, by angle:
d [Å]  I/Imax
3.878  81
3.165  31
2.614  18
2.502  14
2.452  100
2.238  73
2.102  14
1.939  79
1.751  11
1.465  48

Cell and atoms:
```
10
Lattice="7.0766 0.0000 0.0000 0.0000 7.0766 0.0000 0.0000 0.0000 3.8782" Properties=species:S:1:pos:R:3 pbc="T T T"
Nb 0.9954 2.5429 0.0000
Nb 2.5429 6.0812 0.0000
Nb 4.5337 0.9954 0.0000
Nb 6.0812 4.5337 0.0000
Al 1.0704 4.6087 1.9391
Al 2.4679 1.0704 1.9391
Al 4.6087 6.0062 1.9391
Al 6.0062 2.4679 1.9391
Sb 0.0000 0.0000 0.0000
Sb 3.5383 3.5383 0.0000
```

(8)
Starting from the PBE geometry in Alexandria, the XRD peak list of Sc2Nb2Al3 was computed for Cu Kα X-rays.

Top 10 peaks for 2θ = 5–70°, by angle:
d [Å]  I/Imax
10.131  100
2.874  19
2.765  13
2.429  74
2.400  38
2.276  17
2.234  30
2.189  15
2.076  17
1.855  21

Cell and atoms:
```
7
Lattice="2.2340 -10.1312 0.0000 2.2340 10.1312 0.0000 0.0000 0.0000 2.8737" Properties=species:S:1:pos:R:3 pbc="T T T"
Sc 2.2340 8.6495 0.0000
Sc 2.2340 -8.6495 0.0000
Nb 2.2340 5.8268 0.0000
Nb 2.2340 -5.8268 0.0000
Al 2.2340 3.1321 1.4368
Al 2.2340 0.0000 1.4368
Al 2.2340 -3.1321 1.4368
```

(9)
Starting from the PBE geometry in Alexandria, the XRD peak list of Nb5AlSi2 was computed for Cu Kα X-rays.

Top 10 peaks for 2θ = 5–70°, by angle:
d [Å]  I/Imax
2.900  31
2.529  19
2.393  100
2.230  32
2.113  43
1.996  14
1.502  17
1.485  13
1.451  13
1.394  15

Cell and atoms:
```
16
Lattice="-3.3415 3.3415 5.9883 3.3415 -3.3415 5.9883 3.3415 3.3415 -5.9883" Properties=species:S:1:pos:R:3 pbc="T T T"
Nb 0.0000 0.0000 0.0000
Nb 4.4477 1.1062 -1.7667
Nb 1.1062 2.2353 -1.7667
Nb 4.4477 1.1062 1.7667
Nb 1.1062 2.2353 1.7667
Nb 0.0000 0.0000 5.9883
Nb 2.2353 1.1062 4.2216
Nb -1.1062 2.2353 4.2216
Nb 2.2353 1.1062 7.7551
Nb -1.1062 2.2353 7.7551
Al 0.0000 0.0000 2.9942
Al 0.0000 0.0000 8.9825
Si 2.4784 0.8631 0.0000
Si 2.4784 -0.8631 5.9883
Si 0.8631 4.2046 0.0000
Si 0.8631 2.4784 5.9883
```

(10)
Starting from the PBE geometry in Alexandria, the XRD peak list of NbAlSn3 was computed for Cu Kα X-rays.

Top 10 peaks for 2θ = 5–70°, by angle:
d [Å]  I/Imax
5.388  84
3.111  71
2.694  100
2.409  45
1.905  73
1.796  23
1.624  34
1.555  26
1.494  10
1.347  12

Cell and atoms:
```
5
Lattice="5.3877 0.0000 0.0000 0.0000 5.3877 0.0000 0.0000 0.0000 5.3877" Properties=species:S:1:pos:R:3 pbc="T T T"
Nb 0.0000 0.0000 0.0000
Al 2.6939 2.6939 2.6939
Sn 0.0000 0.0000 2.6939
Sn 0.0000 2.6939 0.0000
Sn 2.6939 0.0000 0.0000
```

(11)
Starting from the PBE geometry in Alexandria, the XRD peak list of Nb3AlV3Sn was computed for Cu Kα X-rays.

Top 10 peaks for 2θ = 5–70°, by angle:
d [Å]  I/Imax
5.098  37
2.549  61
2.307  92
2.254  100
2.112  46
2.091  71
2.033  27
1.433  23
1.396  20
1.377  21

Cell and atoms:
```
8
Lattice="3.6581 2.1120 2.8622 -3.6581 2.1120 2.8622 0.0000 -4.2240 2.8622" Properties=species:S:1:pos:R:3 pbc="T T T"
Nb -0.8736 -1.6169 2.8622
Nb -0.9635 1.5650 2.8622
Nb 1.8371 0.0519 2.8622
Al 0.0000 0.0000 0.6456
V -2.6924 -0.3864 4.3011
V 1.6808 -2.1385 4.3011
V 1.0116 2.5249 4.3011
Sn 0.0000 0.0000 5.1435
```

(12)
Starting from the PBE geometry in Alexandria, the XRD peak list of TaNb14Al was computed for Cu Kα X-rays.

Top 10 peaks for 2θ = 5–70°, by angle:
d [Å]  I/Imax
6.619  4
4.681  4
2.961  2
2.703  2
2.341  100
2.207  1
2.094  1
1.769  1
1.655  17
1.351  34

Cell and atoms:
```
16
Lattice="6.6194 0.0000 0.0000 0.0000 6.6194 0.0000 0.0000 0.0000 6.6215" Properties=species:S:1:pos:R:3 pbc="T T T"
Ta 0.0000 0.0000 0.0000
Nb 0.0000 0.0000 3.3108
Nb 0.0000 3.3097 0.0000
Nb 0.0000 3.3097 3.3108
Nb 1.6446 1.6446 1.6692
Nb 1.6446 1.6446 4.9523
Nb 1.6446 4.9748 1.6692
Nb 1.6446 4.9748 4.9523
Nb 3.3097 0.0000 0.0000
Nb 3.3097 0.0000 3.3108
Nb 3.3097 3.3097 3.3108
Nb 4.9748 1.6446 1.6692
Nb 4.9748 1.6446 4.9523
Nb 4.9748 4.9748 1.6692
Nb 4.9748 4.9748 4.9523
Al 3.3097 3.3097 0.0000
```